1.
# LaCe2TeO4
Theoretical powder X-ray diffraction pattern, copper Kα. Input: DFT lattice parameters and positions (PBE).
No peak broadening, texture or thermal motion is included.

Structural model:
```
LaCe2TeO4
1.0
4.022 0.000 0.000
0.000 4.022 0.000
0.000 0.000 9.338
La Ce Te O
1 2 1 4
direct
0.000 0.000 0.000
0.500 0.500 0.274
0.500 0.500 0.726
0.000 0.000 0.500
0.000 0.500 0.161
0.000 0.500 0.839
0.500 0.000 0.161
0.500 0.000 0.839
```

Largest 10 diffraction maxima, in order of falling intensity, 10 to 90 degrees two-theta:
29.31°, I = 100
54.69°, I = 35
31.46°, I = 33
50.58°, I = 22
45.09°, I = 20
60.79°, I = 9
87.31°, I = 9
38.56°, I = 9
81.84°, I = 8
73.50°, I = 7

2.
# SnHg2Cl5
Theoretical powder X-ray diffraction pattern, copper Kα. Input: DFT lattice parameters and positions (PBE).
No peak broadening, texture or thermal motion is included.

Structural model:
```
SnHg2Cl5
1.0
5.430 0.000 0.000
-2.195 7.370 0.000
-1.969 -2.211 7.283
Sn Hg Cl
1 2 5
direct
0.000 0.000 0.000
0.140 0.457 0.458
0.707 0.539 0.539
0.068 0.039 0.325
0.090 0.337 0.054
0.434 0.995 0.996
0.774 0.662 0.944
0.799 0.959 0.675
```

Largest 10 diffraction maxima, in order of falling intensity, 10 to 90 degrees two-theta:
14.73°, I = 100
24.44°, I = 31
25.26°, I = 31
19.91°, I = 29
18.01°, I = 24
35.45°, I = 24
36.57°, I = 23
37.02°, I = 18
12.15°, I = 18
12.55°, I = 17

3.
# NpMnTlS4
Theoretical powder X-ray diffraction pattern, copper Kα. Input: DFT lattice parameters and positions (PBE).
No peak broadening, texture or thermal motion is included.

Structural model:
```
NpMnTlS4
1.0
6.470 0.000 0.000
0.000 6.246 0.000
-2.807 0.000 8.418
Np Mn Tl S
2 2 2 8
direct
0.232 0.250 0.053
0.768 0.750 0.947
0.224 0.750 0.829
0.776 0.250 0.171
0.278 0.250 0.563
0.722 0.750 0.437
0.019 0.511 0.205
0.019 0.989 0.205
0.434 0.750 0.673
0.438 0.750 0.079
0.562 0.250 0.921
0.566 0.250 0.327
0.981 0.011 0.795
0.981 0.489 0.795
```

Largest 10 diffraction maxima, in order of falling intensity, 10 to 90 degrees two-theta:
20.28°, I = 100
28.58°, I = 45
25.84°, I = 44
32.67°, I = 43
25.52°, I = 37
41.24°, I = 34
33.44°, I = 33
30.13°, I = 27
35.80°, I = 26
29.10°, I = 23

4.
# CaZn2SbPd4
Theoretical powder X-ray diffraction pattern, copper Kα. Input: DFT lattice parameters and positions (PBE).
No peak broadening, texture or thermal motion is included.

Structural model:
```
CaZn2SbPd4
1.0
2.332 1.346 7.363
-2.332 1.346 7.363
0.000 -2.693 7.363
Ca Zn Sb Pd
1 2 1 4
direct
0.000 0.000 0.000
0.257 0.257 0.257
0.743 0.743 0.743
0.500 0.500 0.500
0.135 0.135 0.135
0.380 0.380 0.380
0.620 0.620 0.620
0.865 0.865 0.865
```

Largest 10 diffraction maxima, in order of falling intensity, 10 to 90 degrees two-theta:
38.61°, I = 100
39.53°, I = 84
70.49°, I = 29
56.45°, I = 29
69.87°, I = 17
82.78°, I = 10
54.26°, I = 10
12.02°, I = 10
72.33°, I = 9
22.38°, I = 7